Theoretical PXRD pattern of Cs2CaCdH6 for Cu Ka, from a DFT-relaxed cell (PBE, Alexandria).
No peak broadening, texture or thermal motion is included.

Atomic structure:
```
Cs2CaCdH6
1.0
6.4936 0.0000 0.0000
-3.2468 5.6237 0.0000
0.0000 0.0000 5.9248
Cs Ca Cd H
2 1 1 6
direct
0.3333 0.6667 0.1784 Cs
0.6667 0.3333 0.8216 Cs
0.0000 0.0000 0.5000 Ca
0.0000 0.0000 0.0000 Cd
0.1420 0.2839 0.7753 H
0.1420 0.8580 0.7753 H
0.2839 0.1420 0.2247 H
0.7161 0.8580 0.7753 H
0.8580 0.1420 0.2247 H
0.8580 0.7161 0.2247 H
```

The 8 most intense peaks (2θ = 5–70°), low angle first:
14.95 deg, I 28.0
21.79 deg, I 83.3
27.47 deg, I 100.0
31.42 deg, I 27.9
34.21 deg, I 55.8
35.33 deg, I 26.0
44.42 deg, I 27.4
53.03 deg, I 31.4